[1]
Computed powder diffraction line list of Ce4USe5 for CuKα, from a GGA-PBE-relaxed structure.

Top 12 peaks for 2θ from 10° to 80°, low angle first:
Position (°2θ)	Rel. int.
12.00	1.4
21.53	1.6
23.18	1.3
26.17	20.1
30.31	100.0
43.40	74.6
51.39	10.1
53.85	26.7
63.05	12.3
69.48	4.2
71.55	34.0
79.65	25.5

Atomic structure:
a = 4.168 Å, b = 4.168 Å, c = 29.512 Å
α = 90.00°, β = 90.00°, γ = 90.00°
Space group I4/mmm (No. 139)
Inequivalent atoms, fractional coordinates:
Ce 0.000 0.000 0.099
Ce 0.000 0.000 0.301
U 0.000 0.000 0.500
Se 0.000 0.000 0.000
Se 0.000 0.000 0.200
Se 0.000 0.000 0.401

[2]
Computed powder diffraction line list of Np2ZnCo3As4 for CuKα, from a GGA-PBE-relaxed structure.

Top 12 peaks for 2θ from 10° to 80°, low angle first:
Position (°2θ)	Rel. int.
23.36	31.6
30.43	26.6
35.59	66.2
35.91	100.0
43.57	52.0
52.87	24.0
57.46	33.5
59.00	10.1
63.31	16.9
67.00	12.4
70.84	19.8
74.99	23.6

Atomic structure:
a = 4.155 Å, b = 4.155 Å, c = 9.526 Å
α = 90.00°, β = 90.00°, γ = 90.00°
Space group P-4m2 (No. 115)
Inequivalent atoms, fractional coordinates:
Np 0.000 0.500 0.242
Zn 0.000 0.000 0.500
Co 0.000 0.500 0.889
Co 0.500 0.500 0.500
As 0.000 0.000 0.000
As 0.000 0.500 0.648
As 0.500 0.500 0.000

[3]
Computed powder diffraction line list of CaAcOs for CuKα, from a GGA-PBE-relaxed structure.

Top 12 peaks for 2θ from 10° to 80°, low angle first:
Position (°2θ)	Rel. int.
17.64	33.8
18.16	57.6
25.38	84.6
26.56	60.1
31.08	33.8
33.11	58.8
33.99	31.3
36.46	27.4
36.74	32.6
38.77	100.0
52.11	28.8
54.08	39.9

Atomic structure:
a = 7.019 Å, b = 12.934 Å, c = 7.997 Å
α = 90.00°, β = 90.00°, γ = 90.00°
Space group Cmce (No. 64)
Inequivalent atoms, fractional coordinates:
Ca 0.250 0.040 0.250
Ac 0.000 0.200 0.619
Os 0.000 0.095 0.963

[4]
Computed powder diffraction line list of PrIn3Pt for CuKα, from a GGA-PBE-relaxed structure.

Top 12 peaks for 2θ from 10° to 80°, low angle first:
Position (°2θ)	Rel. int.
17.96	22.8
25.50	13.9
31.37	18.6
32.69	100.0
33.96	46.1
36.38	33.3
37.54	14.3
40.85	32.3
44.96	49.3
52.40	11.6
57.51	15.0
62.35	26.3

Atomic structure:
a = 9.878 Å, b = 9.878 Å, c = 9.878 Å
α = 90.00°, β = 90.00°, γ = 90.00°
Space group Pm-3n (No. 223)
Inequivalent atoms, fractional coordinates:
Pr 0.000 0.000 0.000
Pr 0.000 0.250 0.500
In 0.000 0.318 0.152
Pt 0.250 0.250 0.250

[5]
Computed powder diffraction line list of Tm5PuSc for CuKα, from a GGA-PBE-relaxed structure.

Top 12 peaks for 2θ from 10° to 80°, low angle first:
Position (°2θ)	Rel. int.
13.20	25.3
15.87	100.0
21.22	25.8
29.97	16.8
31.95	37.6
32.11	27.0
33.07	26.1
33.83	23.9
36.41	15.8
45.96	21.2
54.68	19.6
59.42	17.5

Atomic structure:
a = 11.305 Å, b = 8.374 Å, c = 5.625 Å
α = 90.00°, β = 97.69°, γ = 90.00°
Space group C2/m (No. 12)
Inequivalent atoms, fractional coordinates:
Tm 0.000 0.000 0.000
Tm 0.000 0.316 0.500
Tm 0.244 0.000 0.583
Pu 0.000 0.000 0.500
Sc 0.000 0.500 0.000

[6]
Computed powder diffraction line list of Pr4Y3In for CuKα, from a GGA-PBE-relaxed structure.

Top 12 peaks for 2θ from 10° to 80°, low angle first:
Position (°2θ)	Rel. int.
30.44	100.0
30.68	97.5
35.44	99.3
50.68	11.9
50.98	46.4
51.31	11.2
60.42	27.6
60.52	13.8
60.67	13.6
60.84	26.6
63.35	12.0
63.90	11.4

Atomic structure:
a = 10.138 Å, b = 7.122 Å, c = 7.205 Å
α = 90.00°, β = 90.00°, γ = 90.00°
Space group Pmn2_1 (No. 31)
Inequivalent atoms, fractional coordinates:
Pr 0.000 0.000 0.000
Pr 0.000 0.499 0.500
Pr 0.250 0.252 0.750
Y 0.000 0.500 0.000
Y 0.250 0.238 0.250
In 0.000 0.000 0.500

[7]
Computed powder diffraction line list of PmSm8Er2 for CuKα, from a GGA-PBE-relaxed structure.

Top 12 peaks for 2θ from 10° to 80°, low angle first:
Position (°2θ)	Rel. int.
23.35	29.3
28.61	27.3
29.79	68.6
30.11	56.5
30.89	90.5
31.08	36.5
31.70	20.7
32.05	70.6
32.53	100.0
34.34	27.9
62.58	22.0
63.95	21.7

Atomic structure:
a = 16.781 Å, b = 6.737 Å, c = 6.689 Å
α = 90.00°, β = 99.86°, γ = 90.00°
Space group C2/m (No. 12)
Inequivalent atoms, fractional coordinates:
Pm 0.000 0.000 0.000
Sm 0.089 0.262 0.409
Sm 0.092 0.500 0.911
Sm 0.244 0.000 0.315
Er 0.202 0.000 0.804

[8]
Computed powder diffraction line list of Pm3Pr9Nd2 for CuKα, from a GGA-PBE-relaxed structure.

Top 12 peaks for 2θ from 10° to 80°, low angle first:
Position (°2θ)	Rel. int.
25.52	26.1
27.12	10.4
29.35	38.9
30.08	64.6
32.10	100.0
33.97	23.1
35.25	20.1
42.51	9.9
52.09	27.6
52.48	17.9
58.88	14.0
62.50	12.9

Atomic structure:
a = 9.2897 Å, b = 9.2897 Å, c = 13.9694 Å
α = 90.00°, β = 90.00°, γ = 120.00°
Space group P6_3/m (No. 176)
Inequivalent atoms, fractional coordinates:
Pm 0.0802 0.2489 0.2500
Pr 0.0808 0.4796 0.7500
Pr 0.1288 0.7234 0.5403
Nd 0.3333 0.6667 0.1403

[9]
Computed powder diffraction line list of Ac4Pr3Y4 for CuKα, from a GGA-PBE-relaxed structure.

Top 12 peaks for 2θ from 10° to 80°, low angle first:
Position (°2θ)	Rel. int.
19.12	15.3
29.27	100.0
29.97	93.0
30.50	99.1
43.68	39.3
52.03	16.1
53.50	19.0
53.93	18.1
54.25	20.9
58.42	28.4
58.76	15.2
72.13	18.0

Atomic structure:
a = 38.114 Å, b = 5.854 Å, c = 3.725 Å
α = 90.00°, β = 90.04°, γ = 90.00°
Space group Cm (No. 8)
Inequivalent atoms, fractional coordinates:
Ac 0.000 0.000 0.000
Ac 0.056 0.500 0.500
Ac 0.186 0.000 0.500
Ac 0.369 0.000 0.999
Pr 0.144 0.500 0.000
Pr 0.279 0.000 0.497
Pr 0.413 0.500 0.499
Y 0.098 0.000 0.000
Y 0.240 0.500 0.997
Y 0.321 0.500 0.498
Y 0.458 0.000 0.500

Number 4 is which compound?
PrIn3Pt

Which formula does entry 1 have?
Ce4USe5

Please write out number 7 again, unchanged.
Computed powder diffraction line list of PmSm8Er2 for CuKα, from a GGA-PBE-relaxed structure.

Top 12 peaks for 2θ from 10° to 80°, low angle first:
Position (°2θ)	Rel. int.
23.35	29.3
28.61	27.3
29.79	68.6
30.11	56.5
30.89	90.5
31.08	36.5
31.70	20.7
32.05	70.6
32.53	100.0
34.34	27.9
62.58	22.0
63.95	21.7

Atomic structure:
a = 16.781 Å, b = 6.737 Å, c = 6.689 Å
α = 90.00°, β = 99.86°, γ = 90.00°
Space group C2/m (No. 12)
Inequivalent atoms, fractional coordinates:
Pm 0.000 0.000 0.000
Sm 0.089 0.262 0.409
Sm 0.092 0.500 0.911
Sm 0.244 0.000 0.315
Er 0.202 0.000 0.804